Record 1
# K2MnV2O7
Calculated powder diffractogram, Cu Ka. Input: a DFT-relaxed cell (PBE+U, the Materials Project).

Top 10 peaks for 15° ≤ 2θ ≤ 90°, low angle first:
15.61 deg, I 319; 21.23 deg, I 134; 22.69 deg, I 130; 25.69 deg, I 198; 27.66 deg, I 1000; 32.31 deg, I 266; 45.77 deg, I 258; 46.35 deg, I 91; 57.07 deg, I 81; 59.08 deg, I 169

Structure:
```
K2MnV2O7
1.0
8.761 0.000 0.000
0.000 8.761 0.000
0.000 0.000 5.676
K Mn V O
4 2 4 14
Direct
0.163 0.337 0.010
0.337 0.837 0.990
0.663 0.163 0.990
0.837 0.663 0.010
0.000 0.000 0.500
0.500 0.500 0.500
0.140 0.640 0.557
0.360 0.140 0.443
0.640 0.860 0.443
0.860 0.360 0.557
0.000 0.500 0.661
0.088 0.815 0.677
0.144 0.644 0.260
0.185 0.088 0.323
0.315 0.588 0.677
0.356 0.144 0.740
0.412 0.315 0.323
0.500 0.000 0.339
0.588 0.685 0.323
0.644 0.856 0.740
0.685 0.412 0.677
0.815 0.912 0.323
0.856 0.356 0.260
0.912 0.185 0.677
```

---

Record 2
# Li4Ni7O2F14
Calculated powder diffractogram, Cu Ka. Input: a DFT-relaxed cell (PBE+U, the Materials Project).

Top 10 peaks for 15° ≤ 2θ ≤ 90°, low angle first:
17.80 deg, I 285; 18.00 deg, I 645; 18.37 deg, I 1000; 34.56 deg, I 203; 34.68 deg, I 476; 34.99 deg, I 258; 42.41 deg, I 906; 42.56 deg, I 454; 60.84 deg, I 287; 62.45 deg, I 263

Structure:
```
Li4Ni7O2F14
1.0
5.124 -3.025 0.000
5.124 3.025 0.000
-3.527 0.000 9.968
Li Ni O F
4 7 2 14
Direct
0.072 0.072 0.201
0.421 0.421 0.290
0.579 0.579 0.710
0.928 0.928 0.799
0.000 0.500 0.000
0.000 0.500 0.500
0.241 0.241 0.742
0.500 0.000 0.000
0.500 0.000 0.500
0.500 0.500 0.000
0.759 0.759 0.258
0.364 0.364 0.094
0.636 0.636 0.906
0.107 0.612 0.372
0.126 0.126 0.866
0.132 0.603 0.866
0.142 0.142 0.389
0.365 0.365 0.623
0.388 0.893 0.628
0.397 0.868 0.134
0.603 0.132 0.866
0.612 0.107 0.372
0.635 0.635 0.377
0.858 0.858 0.611
0.868 0.397 0.134
0.874 0.874 0.134
0.893 0.388 0.628
```

---

Record 3
# Li2FeNi3O8
Calculated powder diffractogram, Cu Ka. Input: a DFT-relaxed cell (PBE+U, the Materials Project).

Top 10 peaks for 15° ≤ 2θ ≤ 90°, low angle first:
19.52 deg, I 608; 20.51 deg, I 1000; 26.68 deg, I 298; 34.75 deg, I 380; 37.30 deg, I 466; 37.86 deg, I 618; 41.72 deg, I 359; 47.58 deg, I 590; 63.60 deg, I 422; 65.69 deg, I 376

Structure:
```
Li2FeNi3O8
1.0
5.685 0.000 0.000
-2.843 4.924 0.000
0.000 0.000 9.096
Li Fe Ni O
4 2 6 16
Direct
0.000 0.000 0.000
0.000 0.000 0.500
0.333 0.667 0.398
0.667 0.333 0.898
0.333 0.667 0.995
0.667 0.333 0.495
0.170 0.340 0.718
0.170 0.830 0.718
0.340 0.170 0.218
0.660 0.830 0.718
0.830 0.170 0.218
0.830 0.660 0.218
0.000 0.000 0.308
0.000 0.000 0.808
0.042 0.521 0.851
0.168 0.336 0.096
0.168 0.832 0.096
0.333 0.667 0.616
0.336 0.168 0.596
0.479 0.521 0.851
0.479 0.958 0.851
0.521 0.042 0.351
0.521 0.479 0.351
0.664 0.832 0.096
0.667 0.333 0.116
0.832 0.168 0.596
0.832 0.664 0.596
0.958 0.479 0.351
```

---

Record 4
# Li5NiOF5
Calculated powder diffractogram, Cu Ka. Input: a DFT-relaxed cell (PBE+U, the Materials Project).

Top 10 peaks for 15° ≤ 2θ ≤ 90°, low angle first:
21.50 deg, I 284; 30.77 deg, I 276; 31.62 deg, I 493; 34.07 deg, I 370; 42.64 deg, I 277; 43.80 deg, I 500; 44.07 deg, I 1000; 63.88 deg, I 530; 64.09 deg, I 267; 80.86 deg, I 232

Structure:
```
Li5NiOF5
1.0
2.906 0.000 0.000
0.000 2.906 0.000
0.000 0.000 12.402
Li Ni O F
5 1 1 5
Direct
0.000 0.000 0.000
0.000 0.000 0.331
0.000 0.000 0.669
0.500 0.500 0.162
0.500 0.500 0.838
0.500 0.500 0.500
0.000 0.000 0.500
0.000 0.000 0.164
0.000 0.000 0.836
0.500 0.500 0.000
0.500 0.500 0.325
0.500 0.500 0.675
```